This entry pairs a crystal structure of CaFe4P4O16 with its calculated PXRD pattern. Radiation: Cu Ka. Structure: DFT lattice parameters and positions (PBE+U).
Neutral-atom scattering factors, no anomalous dispersion.

The 10 most intense peaks (2θ from 5° to 70°), by intensity:
- 21.21 deg, rel. 100
- 25.48 deg, rel. 77
- 20.32 deg, rel. 71
- 20.52 deg, rel. 68
- 30.42 deg, rel. 68
- 20.00 deg, rel. 66
- 14.43 deg, rel. 46
- 22.81 deg, rel. 45
- 17.78 deg, rel. 43
- 38.55 deg, rel. 42

Crystal structure
```
data_CaFe4P4O16
_chemical_formula_sum 'Ca1 Fe4 P4 O16'
_cell_length_a 5.2436
_cell_length_b 8.7511
_cell_length_c 8.8806
_cell_angle_alpha 90.55
_cell_angle_beta 90.99
_cell_angle_gamma 106.81
_space_group_name_H-M_alt 'P 1'
_space_group_IT_number 1
_space_group_name_Hall 'P 1'
loop_
_atom_site_label
_atom_site_type_symbol
_atom_site_fract_x
_atom_site_fract_y
_atom_site_fract_z
Ca1 Ca 0.0000 0.0000 0.0000
Fe1 Fe 0.0362 0.8140 0.4992
Fe2 Fe 0.4265 0.6740 0.0073
Fe3 Fe 0.5739 0.3262 0.9943
Fe4 Fe 0.9626 0.1869 0.5015
P1 P 0.1071 0.3029 0.8309
P2 P 0.3802 0.1737 0.3265
P3 P 0.6182 0.8272 0.6743
P4 P 0.8934 0.6976 0.1701
O1 O 0.0003 0.3261 0.6721
O2 O 0.0008 0.6749 0.3289
O3 O 0.1318 0.7645 0.0622
O4 O 0.1720 0.0237 0.3958
O5 O 0.2683 0.1795 0.8328
O6 O 0.2775 0.3092 0.3929
O7 O 0.2988 0.4592 0.8974
O8 O 0.3304 0.8146 0.6255
O9 O 0.3562 0.1628 0.1532
O10 O 0.6429 0.8371 0.8475
O11 O 0.6678 0.1868 0.3760
O12 O 0.7016 0.5412 0.1040
O13 O 0.7202 0.6918 0.6068
O14 O 0.7323 0.8210 0.1681
O15 O 0.8264 0.9775 0.6055
O16 O 0.8684 0.2358 0.9386
```